Entry 1:
Starting from a PBE-relaxed structure, the powder diffractogram of Zn was calculated for CuKα.

Principal peaks in the range 10 to 80 degrees two-theta, in order of rising 2θ:
2θ (°), d_spacing, intensity
22.56, 3.941, 11.9
37.28, 2.412, 44.7
41.70, 2.166, 100.0
43.64, 2.074, 34.9
44.87, 2.020, 14.5
47.09, 1.930, 23.5
54.23, 1.691, 14.8
75.87, 1.254, 18.6

Structural model:
Unit cell a=8.756 b=8.170 c=4.377 alpha=82.58 beta=67.71 gamma=29.72
Fractional coordinates of all 8 atoms:
1 Zn 0.042 0.042 0.208
2 Zn 0.208 0.208 0.042
3 Zn 0.209 0.541 0.209
4 Zn 0.459 0.791 0.459
5 Zn 0.541 0.209 0.541
6 Zn 0.791 0.459 0.791
7 Zn 0.792 0.792 0.958
8 Zn 0.958 0.958 0.792

---

Entry 2:
Starting from a PBE-relaxed structure, the powder diffractogram of Ba2Li3DyF12 was calculated for CuKα.

Principal peaks in the range 10 to 80 degrees two-theta, in order of rising 2θ:
2θ (°), d_spacing, intensity
15.01, 5.902, 54.4
17.72, 5.004, 93.0
25.43, 3.502, 100.0
29.20, 3.058, 68.9
29.66, 3.012, 86.6
39.10, 2.304, 92.0
47.23, 1.925, 43.7
52.24, 1.751, 42.6

Structural model:
Unit cell a=7.155 b=7.155 c=7.155 alpha=58.61 beta=58.61 gamma=58.61
Fractional coordinates of all 18 atoms:
1 Ba 0.107 0.107 0.107
2 Ba 0.893 0.893 0.893
3 Li 0.000 0.500 0.500
4 Li 0.500 0.000 0.500
5 Li 0.500 0.500 0.000
6 Dy 0.500 0.500 0.500
7 F 0.101 0.635 0.635
8 F 0.225 0.225 0.645
9 F 0.225 0.645 0.225
10 F 0.355 0.775 0.775
11 F 0.365 0.365 0.899
12 F 0.365 0.899 0.365
13 F 0.635 0.101 0.635
14 F 0.635 0.635 0.101
15 F 0.645 0.225 0.225
16 F 0.775 0.355 0.775
17 F 0.775 0.775 0.355
18 F 0.899 0.365 0.365

---

Entry 3:
Starting from a PBE-relaxed structure, the powder diffractogram of Ag6Cl2F5 was calculated for CuKα.

Principal peaks in the range 10 to 80 degrees two-theta, in order of rising 2θ:
2θ (°), d_spacing, intensity
28.08, 3.177, 94.9
28.65, 3.116, 100.0
29.25, 3.053, 89.1
33.46, 2.678, 68.7
38.41, 2.343, 42.3
44.23, 2.048, 55.0
48.26, 1.886, 36.7
50.05, 1.822, 24.9

Structural model:
Unit cell a=6.605 b=6.605 c=14.065 alpha=109.45 beta=109.45 gamma=57.51
Fractional coordinates of all 26 atoms:
1 Ag 0.112 0.625 0.451
2 Ag 0.135 0.637 0.785
3 Ag 0.163 0.582 0.142
4 Ag 0.363 0.865 0.715
5 Ag 0.375 0.888 0.049
6 Ag 0.418 0.837 0.358
7 Ag 0.582 0.163 0.642
8 Ag 0.625 0.112 0.951
9 Ag 0.637 0.135 0.285
10 Ag 0.837 0.418 0.858
11 Ag 0.865 0.363 0.215
12 Ag 0.888 0.375 0.549
13 Cl 0.113 0.668 0.969
14 Cl 0.332 0.887 0.531
15 Cl 0.668 0.113 0.469
16 Cl 0.887 0.332 0.031
17 F 0.030 0.970 0.250
18 F 0.173 0.522 0.611
19 F 0.227 0.452 0.288
20 F 0.452 0.227 0.788
21 F 0.478 0.827 0.889
22 F 0.522 0.173 0.111
23 F 0.548 0.773 0.212
24 F 0.773 0.548 0.712
25 F 0.827 0.478 0.389
26 F 0.970 0.030 0.750

---

Entry 4:
Starting from a PBE-relaxed structure, the powder diffractogram of Cs4RbGe3Br12 was calculated for CuKα.

Principal peaks in the range 10 to 80 degrees two-theta, in order of rising 2θ:
2θ (°), d_spacing, intensity
21.85, 4.067, 39.9
26.85, 3.321, 84.1
31.10, 2.876, 100.0
38.33, 2.348, 16.9
44.56, 2.034, 70.5
52.79, 1.734, 34.3
55.33, 1.660, 23.9
73.66, 1.286, 29.3

Structural model:
Unit cell a=9.962 b=9.962 c=9.962 alpha=109.47 beta=109.47 gamma=109.47
Fractional coordinates of all 20 atoms:
1 Cs 0.000 0.000 0.500
2 Cs 0.000 0.500 0.000
3 Cs 0.500 0.000 0.000
4 Cs 0.500 0.500 0.500
5 Rb 0.000 0.000 0.000
6 Ge 0.000 0.500 0.500
7 Ge 0.500 0.000 0.500
8 Ge 0.500 0.500 0.000
9 Br 0.000 0.272 0.272
10 Br 0.000 0.728 0.728
11 Br 0.250 0.500 0.750
12 Br 0.250 0.750 0.500
13 Br 0.272 0.000 0.272
14 Br 0.272 0.272 0.000
15 Br 0.500 0.250 0.750
16 Br 0.500 0.750 0.250
17 Br 0.728 0.000 0.728
18 Br 0.728 0.728 0.000
19 Br 0.750 0.250 0.500
20 Br 0.750 0.500 0.250

---

Entry 5:
Starting from a PBE-relaxed structure, the powder diffractogram of NaLaDySe3 was calculated for CuKα.

Principal peaks in the range 10 to 80 degrees two-theta, in order of rising 2θ:
2θ (°), d_spacing, intensity
30.00, 2.978, 58.6
30.39, 2.941, 100.0
30.67, 2.915, 84.7
36.28, 2.476, 32.1
38.90, 2.315, 36.4
40.02, 2.253, 28.5
42.94, 2.106, 29.2
43.26, 2.091, 37.7

Structural model:
Unit cell a=8.432 b=4.183 c=9.267 alpha=90.00 beta=105.38 gamma=90.00
Fractional coordinates of all 12 atoms:
1 Na 0.097 0.250 0.085
2 Na 0.903 0.750 0.915
3 La 0.205 0.250 0.728
4 La 0.795 0.750 0.272
5 Dy 0.332 0.750 0.347
6 Dy 0.668 0.250 0.653
7 Se 0.095 0.250 0.378
8 Se 0.259 0.750 0.997
9 Se 0.442 0.750 0.668
10 Se 0.558 0.250 0.332
11 Se 0.741 0.250 0.003
12 Se 0.905 0.750 0.622

---

Entry 6:
Starting from a PBE-relaxed structure, the powder diffractogram of Ac3Cd2Sn was calculated for CuKα.

Principal peaks in the range 10 to 80 degrees two-theta, in order of rising 2θ:
2θ (°), d_spacing, intensity
22.01, 4.038, 10.3
30.79, 2.904, 100.0
31.33, 2.855, 47.9
43.29, 2.090, 9.9
44.90, 2.019, 18.0
54.40, 1.686, 20.3
55.43, 1.658, 38.8
64.13, 1.452, 12.4

Structural model:
Unit cell a=4.038 b=4.038 c=12.540 alpha=90.00 beta=90.00 gamma=90.00
Fractional coordinates of all 6 atoms:
1 Ac 0.000 0.000 0.000
2 Ac 0.000 0.000 0.332
3 Ac 0.000 0.000 0.668
4 Cd 0.500 0.500 0.161
5 Cd 0.500 0.500 0.839
6 Sn 0.500 0.500 0.500

---

Entry 7:
Starting from a PBE-relaxed structure, the powder diffractogram of Na2ScF5 was calculated for CuKα.

Principal peaks in the range 10 to 80 degrees two-theta, in order of rising 2θ:
2θ (°), d_spacing, intensity
15.49, 5.719, 59.1
17.45, 5.083, 48.7
23.02, 3.863, 100.0
24.40, 3.648, 45.6
28.77, 3.104, 83.7
39.86, 2.261, 60.6
44.14, 2.052, 49.1
52.03, 1.758, 51.1

Structural model:
Unit cell a=6.076 b=6.076 c=11.085 alpha=90.00 beta=90.00 gamma=140.53
Fractional coordinates of all 16 atoms:
1 Na 0.139 0.861 0.560
2 Na 0.139 0.861 0.940
3 Na 0.861 0.139 0.060
4 Na 0.861 0.139 0.440
5 Sc 0.170 0.830 0.250
6 Sc 0.830 0.170 0.750
7 F 0.046 0.954 0.124
8 F 0.046 0.954 0.376
9 F 0.285 0.715 0.107
10 F 0.285 0.715 0.393
11 F 0.302 0.698 0.750
12 F 0.698 0.302 0.250
13 F 0.715 0.285 0.607
14 F 0.715 0.285 0.893
15 F 0.954 0.046 0.624
16 F 0.954 0.046 0.876

---

Entry 8:
Starting from a PBE-relaxed structure, the powder diffractogram of Zr4PaN6 was calculated for CuKα.

Principal peaks in the range 10 to 80 degrees two-theta, in order of rising 2θ:
2θ (°), d_spacing, intensity
17.38, 5.103, 27.4
30.74, 2.909, 40.2
32.33, 2.769, 100.0
33.21, 2.697, 82.9
33.32, 2.689, 30.4
38.98, 2.310, 73.1
56.10, 1.639, 29.9
66.61, 1.404, 25.1

Structural model:
Unit cell a=5.620 b=5.620 c=16.147 alpha=90.00 beta=90.00 gamma=146.30
Fractional coordinates of all 22 atoms:
1 Zr 0.097 0.903 0.631
2 Zr 0.097 0.903 0.869
3 Zr 0.362 0.638 0.546
4 Zr 0.362 0.638 0.954
5 Zr 0.638 0.362 0.046
6 Zr 0.638 0.362 0.454
7 Zr 0.903 0.097 0.131
8 Zr 0.903 0.097 0.369
9 Pa 0.159 0.841 0.250
10 Pa 0.841 0.159 0.750
11 N 0.000 0.000 0.000
12 N 0.000 0.000 0.500
13 N 0.196 0.804 0.750
14 N 0.268 0.732 0.089
15 N 0.268 0.732 0.411
16 N 0.457 0.543 0.666
17 N 0.457 0.543 0.834
18 N 0.543 0.457 0.166
19 N 0.543 0.457 0.334
20 N 0.732 0.268 0.589
21 N 0.732 0.268 0.911
22 N 0.804 0.196 0.250